Entry 1:
For Tl2CuC2O6, a DFT-relaxed cell (PBE, the Materials Project) gives the calculated PXRD pattern in this record (copper Kα).
Neutral-atom scattering factors, no anomalous dispersion.

Crystal structure
Cell lengths 7.7021, 9.9745, 9.2789 Å; angles 90.00, 111.45, 90.00 degrees
Atoms (fractional coordinates):
1 Tl 0.1218 0.2028 0.0178
2 Tl 0.1218 0.2972 0.5178
3 Tl 0.2658 0.6104 0.3520
4 Tl 0.2658 0.8896 0.8520
5 Tl 0.7342 0.1104 0.1480
6 Tl 0.7342 0.3896 0.6480
7 Tl 0.8782 0.7028 0.4822
8 Tl 0.8782 0.7972 0.9822
9 Cu 0.4611 0.1060 0.4231
10 Cu 0.4611 0.3940 0.9231
11 Cu 0.5389 0.6060 0.0769
12 Cu 0.5389 0.8940 0.5769
13 C 0.1392 0.5496 0.9053
14 C 0.1392 0.9504 0.4053
15 C 0.4797 0.1174 0.7503
16 C 0.4797 0.3826 0.2503
17 C 0.5203 0.6174 0.7497
18 C 0.5203 0.8826 0.2497
19 C 0.8608 0.0496 0.5947
20 C 0.8608 0.4504 0.0947
21 O 0.0301 0.0892 0.6560
22 O 0.0301 0.4108 0.1560
23 O 0.1881 0.0654 0.3620
24 O 0.1881 0.4346 0.8620
25 O 0.2609 0.6251 0.0090
26 O 0.2609 0.8749 0.5090
27 O 0.4392 0.1715 0.8591
28 O 0.4392 0.3285 0.3591
29 O 0.4610 0.1861 0.6252
30 O 0.4610 0.3139 0.1252
31 O 0.4617 0.0068 0.2346
32 O 0.4617 0.4932 0.7346
33 O 0.5383 0.5068 0.2654
34 O 0.5383 0.9932 0.7654
35 O 0.5390 0.6861 0.8748
36 O 0.5390 0.8139 0.3748
37 O 0.5608 0.6715 0.6409
38 O 0.5608 0.8285 0.1409
39 O 0.7391 0.1251 0.4910
40 O 0.7391 0.3749 0.9910
41 O 0.8119 0.5654 0.1380
42 O 0.8119 0.9346 0.6380
43 O 0.9699 0.5892 0.8440
44 O 0.9699 0.9108 0.3440

Peak list (8 most intense, 5 to 70 degrees two-theta, low angle first)
d_spacing	two_theta	I/Imax
4.319	20.57	62
4.274	20.78	39
3.259	27.37	100
3.215	27.74	42
3.045	29.33	72
3.016	29.62	40
2.628	34.12	52
2.324	38.75	39

***

Entry 2:
For Na2Ta2Si3O12, a DFT-relaxed cell (PBE, the Materials Project) gives the calculated PXRD pattern in this record (copper Kα).
Neutral-atom scattering factors, no anomalous dispersion.

Crystal structure
Cell lengths 8.9868, 8.9868, 9.1762 Å; angles 119.17, 119.17, 59.57 degrees
Atoms (fractional coordinates):
1 Na 0.0000 0.5000 0.5000
2 Na 0.1147 0.8853 0.7500
3 Na 0.5000 0.0000 0.0000
4 Na 0.8853 0.1147 0.2500
5 Ta 0.1457 0.6413 0.9369
6 Ta 0.3587 0.8543 0.5631
7 Ta 0.6413 0.1457 0.4369
8 Ta 0.8543 0.3587 0.0631
9 Si 0.0356 0.2528 0.7470
10 Si 0.2528 0.0356 0.2470
11 Si 0.4614 0.5386 0.7500
12 Si 0.5386 0.4614 0.2500
13 Si 0.7472 0.9644 0.7530
14 Si 0.9644 0.7472 0.2530
15 O 0.0024 0.2711 0.9173
16 O 0.0651 0.4296 0.7722
17 O 0.0686 0.2178 0.2282
18 O 0.1394 0.7799 0.4279
19 O 0.2178 0.0686 0.7282
20 O 0.2201 0.8606 0.0721
21 O 0.2711 0.0024 0.4173
22 O 0.2744 0.5732 0.7712
23 O 0.3589 0.4975 0.0789
24 O 0.4268 0.7256 0.7288
25 O 0.4296 0.0651 0.2722
26 O 0.4975 0.3589 0.5789
27 O 0.5025 0.6411 0.4211
28 O 0.5704 0.9349 0.7278
29 O 0.5732 0.2744 0.2712
30 O 0.6411 0.5025 0.9211
31 O 0.7256 0.4268 0.2288
32 O 0.7289 0.9976 0.5827
33 O 0.7799 0.1394 0.9279
34 O 0.7822 0.9314 0.2718
35 O 0.8606 0.2201 0.5721
36 O 0.9314 0.7822 0.7718
37 O 0.9349 0.5704 0.2278
38 O 0.9976 0.7289 0.0827

Peak list (8 most intense, 5 to 70 degrees two-theta, low angle first)
d_spacing	two_theta	I/Imax
4.593	19.33	100
4.493	19.76	79
4.464	19.89	43
3.199	27.89	34
2.907	30.76	25
2.892	30.92	48
2.601	34.49	24
2.583	34.73	27

***

Entry 3:
For ZnSnF5, a DFT-relaxed cell (PBE, the Materials Project) gives the calculated PXRD pattern in this record (copper Kα).
Neutral-atom scattering factors, no anomalous dispersion.

Crystal structure
Cell lengths 5.5007, 10.4423, 8.2741 Å; angles 90.00, 110.54, 90.00 degrees
Atoms (fractional coordinates):
1 Zn 0.0057 0.0084 0.2632
2 Zn 0.0057 0.4916 0.7632
3 Zn 0.9943 0.5084 0.2368
4 Zn 0.9943 0.9916 0.7368
5 Sn 0.4092 0.2440 0.1066
6 Sn 0.4092 0.2560 0.6066
7 Sn 0.5908 0.7440 0.3934
8 Sn 0.5908 0.7560 0.8934
9 F 0.1083 0.1102 0.0900
10 F 0.1083 0.3898 0.5900
11 F 0.1435 0.1053 0.4875
12 F 0.1435 0.3947 0.9875
13 F 0.2564 0.6302 0.8308
14 F 0.2564 0.8698 0.3308
15 F 0.3405 0.5822 0.3033
16 F 0.3405 0.9178 0.8033
17 F 0.3530 0.1940 0.8413
18 F 0.3530 0.3060 0.3413
19 F 0.6470 0.6940 0.6587
20 F 0.6470 0.8060 0.1587
21 F 0.6595 0.0822 0.1967
22 F 0.6595 0.4178 0.6967
23 F 0.7436 0.1302 0.6692
24 F 0.7436 0.3698 0.1692
25 F 0.8565 0.6053 0.0125
26 F 0.8565 0.8947 0.5125
27 F 0.8917 0.6102 0.4100
28 F 0.8917 0.8898 0.9100

Peak list (8 most intense, 5 to 70 degrees two-theta, low angle first)
d_spacing	two_theta	I/Imax
4.620	19.21	30
3.667	24.27	100
3.632	24.51	48
3.573	24.92	41
3.074	29.05	18
2.609	34.37	17
2.069	43.75	37
1.869	48.71	18

***

Q: Which formula does entry 1 have?
A: Tl2CuC2O6

***

Q: What is the formula in the second record?
A: Na2Ta2Si3O12